Starting from a structure optimized by DFT (PBE), the powder XRD pattern of ZrBeOs was simulated for λ = 1.5418 Å (Cu Kα).
Lines closer than 0.1° are merged.

abc: 5.0172 5.1877 6.9085
angles: 90.00 90.00 90.00
Space group Imma (No. 74)
Asymmetric unit:
Zr  0.0000  0.2500  0.1263 [4 per cell]
Be  0.2500  0.2500  0.7500 [4 per cell]
Os  0.0000  0.0000  0.5000 [4 per cell]

Most intense lines, 10° ≤ 2θ ≤ 90°, low angle first:
h k l  2theta  intensity
1 0 1  21.9  58
0 0 2  25.8  43
2 0 0  35.8  44
1 2 1  41.3  100
1 0 3  43.2  45
0 2 2  43.6  25
2 0 2  44.6  23
2 2 2  57.7  20
3 2 1  68.1  23
2 2 4  76.4  21